Entry 1:
For Li2FeP5O15, a structure optimized by DFT (PBE+U) gives the simulated XRD peak list in this record (a wavelength of 1.5418 Å).

Lattice parameters (Å, degrees): 5.3517 9.6133 13.1526 90.00 109.27 90.00
Space group Pc (No. 7)
One atom of each set of equivalent atoms:
1 Li 0.0000 0.0959 0.0000 x2
2 Li 0.8618 0.1360 0.6384 x2
3 Fe 0.9961 0.4912 0.0855 x2
4 P 0.3504 0.3065 0.4982 x2
5 P 0.4236 0.0184 0.4345 x2
6 P 0.4796 0.0252 0.2178 x2
7 P 0.5859 0.3195 0.1686 x2
8 P 0.9842 0.4880 0.3335 x2
9 O 0.0336 0.4389 0.7403 x2
10 O 0.1821 0.3464 0.5673 x2
11 O 0.2088 0.0166 0.1361 x2
12 O 0.2307 0.3838 0.3824 x2
13 O 0.2381 0.1016 0.9153 x2
14 O 0.2714 0.1499 0.4676 x2
15 O 0.2950 0.3549 0.1333 x2
16 O 0.4466 0.0855 0.3264 x2
17 O 0.6389 0.1607 0.1918 x2
18 O 0.6424 0.3303 0.5441 x2
19 O 0.6674 0.0935 0.7377 x2
20 O 0.6985 0.0083 0.5136 x2
21 O 0.7269 0.3895 0.2849 x2
22 O 0.7298 0.3593 0.0910 x2
23 O 0.9395 0.4332 0.9253 x2

Principal peaks in the range 15° ≤ 2θ ≤ 90°, low angle first:
Position (°2θ)  d/Å  Rel. int.
18.5  4.807  43
19.9  4.472  100
23.0  3.863  23
23.4  3.801  15
26.3  3.383  14
28.3  3.148  24
30.3  2.954  28
33.1  2.706  29
34.0  2.634  19
47.6  1.911  12

---

Entry 2:
For LiFePO4, a structure optimized by DFT (PBE+U) gives the simulated XRD peak list in this record (a wavelength of 1.5418 Å).

Lattice parameters (Å, degrees): 5.1615 8.9993 10.5949 67.32 79.05 89.57
Space group P1 (No. 1)
One atom of each set of equivalent atoms:
1 Li 0.0000 0.0000 0.0000 x1
2 Li 0.2439 0.2619 0.4989 x1
3 Li 0.4998 0.4998 0.0003 x1
4 Li 0.7435 0.7617 0.4988 x1
5 Fe 0.1917 0.8773 0.6162 x1
6 Fe 0.4511 0.7817 0.1182 x1
7 Fe 0.6931 0.3767 0.6166 x1
8 Fe 0.9512 0.2820 0.1180 x1
9 P 0.0087 0.6810 0.9748 x1
10 P 0.2494 0.6096 0.4742 x1
11 P 0.5077 0.1810 0.9746 x1
12 P 0.7489 0.1100 0.4737 x1
13 O 0.0671 0.7605 0.8152 x1
14 O 0.2709 0.6519 0.0304 x1
15 O 0.2881 0.6980 0.3154 x1
16 O 0.3433 0.2935 0.0357 x1
17 O 0.3479 0.0155 0.0255 x1
18 O 0.3733 0.7156 0.5374 x1
19 O 0.3812 0.4458 0.5138 x1
20 O 0.4456 0.0776 0.5372 x1
21 O 0.5612 0.2600 0.8149 x1
22 O 0.7713 0.1530 0.0289 x1
23 O 0.7870 0.1987 0.3150 x1
24 O 0.8435 0.7936 0.0354 x1
25 O 0.8482 0.5158 0.0249 x1
26 O 0.8740 0.2154 0.5370 x1
27 O 0.8817 0.9466 0.5121 x1
28 O 0.9456 0.5772 0.5367 x1

Principal peaks in the range 15° ≤ 2θ ≤ 90°, low angle first:
Position (°2θ)  d/Å  Rel. int.
18.5  4.787  100
19.8  4.487  52
19.9  4.460  27
21.2  4.182  16
21.5  4.141  17
21.7  4.093  17
22.2  3.998  39
22.6  3.942  22
34.6  2.596  18
34.8  2.576  16